Theoretical powder diffractogram
Compound: La7HgPt5
Radiation: Cu Kα X-rays
Structure: a GGA-PBE-relaxed structure
Neutral-atom scattering factors, no anomalous dispersion.

Main lines, in order of rising 2θ (10° ≤ 2θ ≤ 90°):
2θ = 24.41°, intensity 24
2θ = 27.53°, intensity 49
2θ = 29.05°, intensity 96
2θ = 30.12°, intensity 100
2θ = 30.77°, intensity 33
2θ = 38.74°, intensity 29
2θ = 41.83°, intensity 35
2θ = 41.99°, intensity 31
2θ = 42.10°, intensity 42
2θ = 42.53°, intensity 48

abc: 7.431 7.431 25.467
angles: 90.05 90.05 33.24
Atoms (fractional coordinates):
La: 0.034 0.034 0.250
La: 0.135 0.135 0.536
La: 0.135 0.135 0.964
La: 0.323 0.323 0.329
La: 0.324 0.324 0.171
La: 0.408 0.408 0.895
La: 0.409 0.409 0.605
La: 0.591 0.591 0.395
La: 0.592 0.592 0.105
La: 0.676 0.676 0.829
La: 0.677 0.677 0.671
La: 0.865 0.865 0.036
La: 0.865 0.865 0.464
La: 0.966 0.966 0.750
Hg: 0.292 0.292 0.750
Hg: 0.708 0.708 0.250
Pt: 0.041 0.041 0.856
Pt: 0.042 0.042 0.644
Pt: 0.227 0.227 0.072
Pt: 0.227 0.227 0.428
Pt: 0.500 0.500 0.000
Pt: 0.500 0.500 0.500
Pt: 0.773 0.773 0.572
Pt: 0.773 0.773 0.928
Pt: 0.958 0.958 0.356
Pt: 0.959 0.959 0.144

Theoretical powder diffractogram
Compound: ThP2Pt8
Radiation: Cu Kα X-rays
Structure: a GGA-PBE-relaxed structure
Neutral-atom scattering factors, no anomalous dispersion.

Main lines, in order of rising 2θ (10° ≤ 2θ ≤ 90°):
2θ = 24.23°, intensity 38
2θ = 32.63°, intensity 59
2θ = 34.90°, intensity 24
2θ = 36.70°, intensity 26
2θ = 41.06°, intensity 100
2θ = 46.81°, intensity 46
2θ = 49.91°, intensity 25
2θ = 60.91°, intensity 24
2θ = 73.05°, intensity 22
2θ = 82.94°, intensity 26

abc: 8.308 8.308 8.308
angles: 141.42 141.42 55.70
Atoms (fractional coordinates):
Th: 0.000 0.000 0.000
P: 0.250 0.750 0.500
P: 0.750 0.250 0.500
Pt: 0.105 0.105 0.509
Pt: 0.105 0.597 0.000
Pt: 0.403 0.403 0.509
Pt: 0.403 0.895 0.000
Pt: 0.597 0.105 0.000
Pt: 0.597 0.597 0.491
Pt: 0.895 0.403 0.000
Pt: 0.895 0.895 0.491

Theoretical powder diffractogram
Compound: HfSc2Sb3
Radiation: Cu Kα X-rays
Structure: a GGA-PBE-relaxed structure
Neutral-atom scattering factors, no anomalous dispersion.

Main lines, in order of rising 2θ (10° ≤ 2θ ≤ 90°):
2θ = 10.07°, intensity 17
2θ = 22.07°, intensity 13
2θ = 26.37°, intensity 5
2θ = 30.55°, intensity 100
2θ = 32.25°, intensity 5
2θ = 43.74°, intensity 74
2θ = 54.29°, intensity 26
2θ = 63.58°, intensity 12
2θ = 72.18°, intensity 32
2θ = 80.37°, intensity 24

abc: 4.138 4.138 17.565
angles: 90.00 90.00 90.00
Atoms (fractional coordinates):
Hf: 0.000 0.000 0.000
Hf: 0.500 0.500 0.500
Sc: 0.000 0.000 0.332
Sc: 0.000 0.000 0.668
Sc: 0.500 0.500 0.168
Sc: 0.500 0.500 0.832
Sb: 0.000 0.000 0.166
Sb: 0.000 0.000 0.500
Sb: 0.000 0.000 0.834
Sb: 0.500 0.500 0.000
Sb: 0.500 0.500 0.334
Sb: 0.500 0.500 0.666

Theoretical powder diffractogram
Compound: Na8PbAu2
Radiation: Cu Kα X-rays
Structure: a GGA-PBE-relaxed structure
Neutral-atom scattering factors, no anomalous dispersion.

Main lines, in order of rising 2θ (10° ≤ 2θ ≤ 90°):
2θ = 20.64°, intensity 100
2θ = 20.92°, intensity 31
2θ = 23.06°, intensity 47
2θ = 25.67°, intensity 17
2θ = 32.66°, intensity 17
2θ = 33.02°, intensity 22
2θ = 34.60°, intensity 33
2θ = 34.94°, intensity 30
2θ = 38.95°, intensity 17
2θ = 39.11°, intensity 32

abc: 5.425 6.942 9.314
angles: 111.55 106.66 90.77
Atoms (fractional coordinates):
Na: 0.000 0.000 0.000
Na: 0.021 0.498 0.042
Na: 0.230 0.386 0.445
Na: 0.353 0.896 0.653
Na: 0.438 0.593 0.860
Na: 0.631 0.109 0.264
Na: 0.653 0.652 0.306
Na: 0.868 0.146 0.653
Pb: 0.840 0.610 0.653
Au: 0.154 0.916 0.319
Au: 0.487 0.249 0.987

Theoretical powder diffractogram
Compound: Al8Fe5
Radiation: Cu Kα X-rays
Structure: a GGA-PBE-relaxed structure
Neutral-atom scattering factors, no anomalous dispersion.

Main lines, in order of rising 2θ (10° ≤ 2θ ≤ 90°):
2θ = 24.76°, intensity 21
2θ = 43.60°, intensity 100
2θ = 48.48°, intensity 3
2θ = 50.78°, intensity 6
2θ = 63.36°, intensity 11
2θ = 65.31°, intensity 3
2θ = 72.83°, intensity 1
2θ = 74.66°, intensity 4
2θ = 76.47°, intensity 3
2θ = 80.06°, intensity 20

abc: 7.628 7.628 7.628
angles: 109.47 109.47 109.47
Atoms (fractional coordinates):
Al: 0.000 0.000 0.788
Al: 0.000 0.272 0.650
Al: 0.000 0.650 0.272
Al: 0.000 0.788 0.000
Al: 0.212 0.212 0.212
Al: 0.272 0.000 0.650
Al: 0.272 0.650 0.000
Al: 0.350 0.350 0.622
Al: 0.350 0.622 0.350
Al: 0.378 0.728 0.728
Al: 0.622 0.350 0.350
Al: 0.650 0.000 0.272
Al: 0.650 0.272 0.000
Al: 0.728 0.378 0.728
Al: 0.728 0.728 0.378
Al: 0.788 0.000 0.000
Fe: 0.000 0.000 0.337
Fe: 0.000 0.337 0.000
Fe: 0.000 0.360 0.360
Fe: 0.000 0.640 0.640
Fe: 0.337 0.000 0.000
Fe: 0.360 0.000 0.360
Fe: 0.360 0.360 0.000
Fe: 0.640 0.000 0.640
Fe: 0.640 0.640 0.000
Fe: 0.663 0.663 0.663

Theoretical powder diffractogram
Compound: BaNa3Tl8
Radiation: Cu Kα X-rays
Structure: a GGA-PBE-relaxed structure
Neutral-atom scattering factors, no anomalous dispersion.

Main lines, in order of rising 2θ (10° ≤ 2θ ≤ 90°):
2θ = 15.66°, intensity 51
2θ = 16.88°, intensity 30
2θ = 17.80°, intensity 34
2θ = 30.01°, intensity 30
2θ = 32.26°, intensity 73
2θ = 32.77°, intensity 100
2θ = 34.14°, intensity 30
2θ = 36.05°, intensity 55
2θ = 41.01°, intensity 34
2θ = 56.31°, intensity 28

abc: 6.535 6.535 10.506
angles: 90.00 90.00 120.00
Atoms (fractional coordinates):
Ba: 0.000 0.000 0.000
Na: 0.000 0.000 0.381
Na: 0.667 0.333 0.493
Na: 0.667 0.333 0.845
Tl: 0.162 0.325 0.677
Tl: 0.162 0.838 0.677
Tl: 0.333 0.667 0.435
Tl: 0.333 0.667 0.927
Tl: 0.505 0.009 0.185
Tl: 0.505 0.495 0.185
Tl: 0.675 0.838 0.677
Tl: 0.991 0.495 0.185

Theoretical powder diffractogram
Compound: Ag5Au7
Radiation: Cu Kα X-rays
Structure: a GGA-PBE-relaxed structure
Neutral-atom scattering factors, no anomalous dispersion.

Main lines, in order of rising 2θ (10° ≤ 2θ ≤ 90°):
2θ = 37.39°, intensity 34
2θ = 37.51°, intensity 100
2θ = 43.19°, intensity 23
2θ = 43.73°, intensity 43
2θ = 63.09°, intensity 15
2θ = 63.20°, intensity 14
2θ = 75.46°, intensity 13
2θ = 76.12°, intensity 13
2θ = 76.23°, intensity 8
2θ = 76.32°, intensity 8

abc: 5.085 5.089 9.746
angles: 85.53 79.73 60.24
Atoms (fractional coordinates):
Ag: 0.000 0.000 0.000
Ag: 0.166 0.668 0.500
Ag: 0.250 0.000 0.250
Ag: 0.750 0.000 0.750
Ag: 0.834 0.332 0.500
Au: 0.085 0.332 0.749
Au: 0.332 0.335 0.000
Au: 0.418 0.668 0.749
Au: 0.500 0.000 0.500
Au: 0.582 0.332 0.251
Au: 0.668 0.665 0.000
Au: 0.915 0.668 0.251

Theoretical powder diffractogram
Compound: LaBe3N3
Radiation: Cu Kα X-rays
Structure: a GGA-PBE-relaxed structure
Neutral-atom scattering factors, no anomalous dispersion.

Main lines, in order of rising 2θ (10° ≤ 2θ ≤ 90°):
2θ = 16.20°, intensity 38
2θ = 16.39°, intensity 100
2θ = 16.88°, intensity 44
2θ = 27.98°, intensity 32
2θ = 28.10°, intensity 22
2θ = 28.94°, intensity 23
2θ = 29.30°, intensity 21
2θ = 32.49°, intensity 22
2θ = 36.59°, intensity 21
2θ = 36.97°, intensity 24

abc: 5.703 6.198 6.281
angles: 115.50 103.81 94.61
Atoms (fractional coordinates):
La: 0.015 0.176 0.337
La: 0.985 0.824 0.663
Be: 0.417 0.825 0.460
Be: 0.451 0.371 0.313
Be: 0.471 0.077 0.878
Be: 0.529 0.923 0.122
Be: 0.549 0.629 0.687
Be: 0.583 0.175 0.540
N: 0.288 0.572 0.456
N: 0.319 0.094 0.082
N: 0.342 0.095 0.624
N: 0.658 0.905 0.376
N: 0.681 0.906 0.918
N: 0.712 0.428 0.544

Theoretical powder diffractogram
Compound: Nb3Tl2O8F
Radiation: Cu Kα X-rays
Structure: a GGA-PBE-relaxed structure
Neutral-atom scattering factors, no anomalous dispersion.

Main lines, in order of rising 2θ (10° ≤ 2θ ≤ 90°):
2θ = 16.97°, intensity 28
2θ = 18.15°, intensity 45
2θ = 22.30°, intensity 44
2θ = 24.96°, intensity 70
2θ = 28.88°, intensity 25
2θ = 31.04°, intensity 100
2θ = 34.34°, intensity 37
2θ = 45.48°, intensity 30
2θ = 52.56°, intensity 36
2θ = 59.85°, intensity 30

abc: 8.734 8.734 8.734
angles: 41.46 41.46 41.46
Atoms (fractional coordinates):
Nb: 0.167 0.167 0.665
Nb: 0.167 0.665 0.167
Nb: 0.665 0.167 0.167
Tl: 0.187 0.187 0.187
Tl: 0.789 0.789 0.789
O: 0.348 0.891 0.891
O: 0.379 0.379 0.379
O: 0.439 0.439 0.993
O: 0.439 0.993 0.439
O: 0.891 0.348 0.891
O: 0.891 0.891 0.348
O: 0.954 0.954 0.954
O: 0.993 0.439 0.439
F: 0.495 0.495 0.495